Entry 1:
This entry pairs a crystal structure of Tm2Ga2Fe15 with its computed PXRD pattern. Radiation: Cu Ka. Structure: a crystal structure in Alexandria, relaxed with GGA-PBE.
Lines closer than 0.1° are merged.

Atomic structure:
a b c (Å): 8.3527 8.3527 8.3326
angles (deg): 90.00 90.00 120.00
Space group P6_3/mmc (No. 194)
Inequivalent atoms, fractional coordinates:
Tm 0.0000 0.0000 0.2500 (multiplicity 2)
Tm 0.3333 0.6667 0.2500 (multiplicity 2)
Ga 0.3333 0.6667 0.6003 (multiplicity 4)
Fe 0.0000 0.5000 0.0000 (multiplicity 6)
Fe 0.0272 0.3579 0.7500 (multiplicity 12)
Fe 0.1650 0.3301 0.0120 (multiplicity 12)

Peak list (8 most intense, 2θ = 10–90°, in order of rising 2θ)
2θ = 30.30°, intensity 23; 2θ = 34.57°, intensity 13; 2θ = 37.29°, intensity 31; 2θ = 40.97°, intensity 18; 2θ = 43.35°, intensity 100; 2θ = 43.44°, intensity 20; 2θ = 63.01°, intensity 17; 2θ = 79.67°, intensity 14


Entry 2:
This entry pairs a crystal structure of Tm2Ga3Fe14 with its computed PXRD pattern. Radiation: Cu Ka. Structure: a crystal structure in Alexandria, relaxed with GGA-PBE.
Lines closer than 0.1° are merged.

Atomic structure:
a b c (Å): 8.4900 8.4900 8.2117
angles (deg): 90.00 90.00 120.00
Space group P6_3/mmc (No. 194)
Inequivalent atoms, fractional coordinates:
Tm 0.0000 0.0000 0.2500 (multiplicity 2)
Tm 0.3333 0.6667 0.2500 (multiplicity 2)
Ga 0.0000 0.5000 0.0000 (multiplicity 6)
Fe 0.0271 0.3482 0.7500 (multiplicity 12)
Fe 0.1649 0.3297 0.0143 (multiplicity 12)
Fe 0.3333 0.6667 0.6109 (multiplicity 4)

Peak list (8 most intense, 2θ = 10–90°, in order of rising 2θ)
2θ = 30.28°, intensity 41; 2θ = 36.67°, intensity 40; 2θ = 41.11°, intensity 23; 2θ = 42.60°, intensity 55; 2θ = 42.98°, intensity 100; 2θ = 44.11°, intensity 28; 2θ = 70.38°, intensity 19; 2θ = 77.97°, intensity 19


Entry 3:
This entry pairs a crystal structure of TmZrGaFe with its computed PXRD pattern. Radiation: Cu Ka. Structure: a crystal structure in Alexandria, relaxed with GGA-PBE.
Lines closer than 0.1° are merged.

Atomic structure:
a b c (Å): 6.7168 6.7168 6.7168
angles (deg): 90.00 90.00 90.00
Space group F-43m (No. 216)
Inequivalent atoms, fractional coordinates:
Tm 0.0000 0.0000 0.0000 (multiplicity 4)
Zr 0.0000 0.0000 0.5000 (multiplicity 4)
Ga 0.2500 0.2500 0.7500 (multiplicity 4)
Fe 0.2500 0.2500 0.2500 (multiplicity 4)

Peak list (8 most intense, 2θ = 10–90°, in order of rising 2θ)
2θ = 22.93°, intensity 9; 2θ = 26.54°, intensity 13; 2θ = 37.89°, intensity 100; 2θ = 44.75°, intensity 5; 2θ = 54.66°, intensity 17; 2θ = 61.77°, intensity 5; 2θ = 68.43°, intensity 34; 2θ = 80.97°, intensity 11


Entry 4:
This entry pairs a crystal structure of U2Ga5Fe3 with its computed PXRD pattern. Radiation: Cu Ka. Structure: a crystal structure in Alexandria, relaxed with GGA-PBE.
Lines closer than 0.1° are merged.

Atomic structure:
a b c (Å): 3.9820 23.9412 6.7913
angles (deg): 90.00 90.00 90.00
Space group Cmc2_1 (No. 36)
Inequivalent atoms, fractional coordinates:
U 0.0000 0.0328 0.0000 (multiplicity 4)
U 0.0000 0.3213 0.8900 (multiplicity 4)
Ga 0.0000 0.0972 0.5955 (multiplicity 4)
Ga 0.0000 0.2031 0.0729 (multiplicity 4)
Ga 0.0000 0.2075 0.6910 (multiplicity 4)
Ga 0.0000 0.3682 0.4345 (multiplicity 4)
Ga 0.0000 0.4469 0.8471 (multiplicity 4)
Fe 0.0000 0.1020 0.1973 (multiplicity 4)
Fe 0.0000 0.2603 0.3768 (multiplicity 4)
Fe 0.0000 0.4565 0.2245 (multiplicity 4)

Peak list (8 most intense, 2θ = 10–90°, in order of rising 2θ)
2θ = 19.77°, intensity 29; 2θ = 26.22°, intensity 31; 2θ = 34.93°, intensity 46; 2θ = 36.55°, intensity 68; 2θ = 37.09°, intensity 100; 2θ = 39.93°, intensity 32; 2θ = 45.55°, intensity 41; 2θ = 46.10°, intensity 23


Entry 5:
This entry pairs a crystal structure of V7Ga3Fe with its computed PXRD pattern. Radiation: Cu Ka. Structure: a crystal structure in Alexandria, relaxed with GGA-PBE.
Lines closer than 0.1° are merged.

Atomic structure:
a b c (Å): 2.6076 12.1579 9.8605
angles (deg): 90.00 91.56 90.00
Space group P2_1/m (No. 11)
Inequivalent atoms, fractional coordinates:
V 0.0260 0.2500 0.1814 (multiplicity 2)
V 0.0443 0.5882 0.1827 (multiplicity 4)
V 0.1021 0.0898 0.5546 (multiplicity 4)
V 0.3350 0.5816 0.9432 (multiplicity 4)
Ga 0.4558 0.7500 0.3171 (multiplicity 2)
Ga 0.4829 0.5827 0.6829 (multiplicity 4)
Fe 0.2969 0.2500 0.9439 (multiplicity 2)

Peak list (8 most intense, 2θ = 10–90°, in order of rising 2θ)
2θ = 42.44°, intensity 92; 2θ = 42.96°, intensity 100; 2θ = 43.74°, intensity 45; 2θ = 44.72°, intensity 45; 2θ = 59.56°, intensity 14; 2θ = 64.34°, intensity 26; 2θ = 77.46°, intensity 19; 2θ = 80.17°, intensity 14


Entry 6:
This entry pairs a crystal structure of VGa2Fe2 with its computed PXRD pattern. Radiation: Cu Ka. Structure: a crystal structure in Alexandria, relaxed with GGA-PBE.
Lines closer than 0.1° are merged.

Atomic structure:
a b c (Å): 7.0405 7.0405 2.6575
angles (deg): 90.00 90.00 90.00
Space group P4/mbm (No. 127)
Inequivalent atoms, fractional coordinates:
V 0.0000 0.0000 0.0000 (multiplicity 2)
Ga 0.1444 0.3556 0.0000 (multiplicity 4)
Fe 0.1532 0.6532 0.5000 (multiplicity 4)

Peak list (8 most intense, 2θ = 10–90°, in order of rising 2θ)
2θ = 17.82°, intensity 12; 2θ = 40.52°, intensity 63; 2θ = 44.62°, intensity 100; 2θ = 51.95°, intensity 11; 2θ = 55.36°, intensity 10; 2θ = 58.66°, intensity 14; 2θ = 82.16°, intensity 29; 2θ = 85.01°, intensity 13


Entry 7:
This entry pairs a crystal structure of VGa2Fe8 with its computed PXRD pattern. Radiation: Cu Ka. Structure: a crystal structure in Alexandria, relaxed with GGA-PBE.
Lines closer than 0.1° are merged.

Atomic structure:
a b c (Å): 7.3494 9.8887 3.9087
angles (deg): 90.00 90.00 90.00
Space group Cmmm (No. 65)
Inequivalent atoms, fractional coordinates:
V 0.0000 0.0000 0.0000 (multiplicity 2)
Ga 0.0000 0.3740 0.5000 (multiplicity 4)
Fe 0.0000 0.2317 0.0000 (multiplicity 4)
Fe 0.1711 0.1371 0.5000 (multiplicity 8)
Fe 0.1798 0.5000 0.0000 (multiplicity 4)

Peak list (8 most intense, 2θ = 10–90°, in order of rising 2θ)
2θ = 38.23°, intensity 17; 2θ = 43.31°, intensity 100; 2θ = 44.60°, intensity 83; 2θ = 46.17°, intensity 36; 2θ = 46.47°, intensity 43; 2θ = 60.13°, intensity 15; 2θ = 67.58°, intensity 22; 2θ = 83.96°, intensity 13


Entry 8:
This entry pairs a crystal structure of V2GaFe3 with its computed PXRD pattern. Radiation: Cu Ka. Structure: a crystal structure in Alexandria, relaxed with GGA-PBE.
Lines closer than 0.1° are merged.

Atomic structure:
a b c (Å): 4.8050 4.8050 4.0942
angles (deg): 90.00 90.00 120.00
Space group P6/mmm (No. 191)
Inequivalent atoms, fractional coordinates:
V 0.3333 0.6667 0.0000 (multiplicity 2)
Ga 0.0000 0.0000 0.0000 (multiplicity 1)
Fe 0.0000 0.5000 0.5000 (multiplicity 3)

Peak list (8 most intense, 2θ = 10–90°, in order of rising 2θ)
2θ = 30.63°, intensity 34; 2θ = 37.43°, intensity 19; 2θ = 43.50°, intensity 38; 2θ = 43.68°, intensity 100; 2θ = 44.25°, intensity 36; 2θ = 49.12°, intensity 29; 2θ = 63.78°, intensity 23; 2θ = 71.86°, intensity 20


Please write out number 3 again, unchanged.
This entry pairs a crystal structure of TmZrGaFe with its computed PXRD pattern. Radiation: Cu Ka. Structure: a crystal structure in Alexandria, relaxed with GGA-PBE.
Lines closer than 0.1° are merged.

Atomic structure:
a b c (Å): 6.7168 6.7168 6.7168
angles (deg): 90.00 90.00 90.00
Space group F-43m (No. 216)
Inequivalent atoms, fractional coordinates:
Tm 0.0000 0.0000 0.0000 (multiplicity 4)
Zr 0.0000 0.0000 0.5000 (multiplicity 4)
Ga 0.2500 0.2500 0.7500 (multiplicity 4)
Fe 0.2500 0.2500 0.2500 (multiplicity 4)

Peak list (8 most intense, 2θ = 10–90°, in order of rising 2θ)
2θ = 22.93°, intensity 9; 2θ = 26.54°, intensity 13; 2θ = 37.89°, intensity 100; 2θ = 44.75°, intensity 5; 2θ = 54.66°, intensity 17; 2θ = 61.77°, intensity 5; 2θ = 68.43°, intensity 34; 2θ = 80.97°, intensity 11


Copy entry 5 word for word.
This entry pairs a crystal structure of V7Ga3Fe with its computed PXRD pattern. Radiation: Cu Ka. Structure: a crystal structure in Alexandria, relaxed with GGA-PBE.
Lines closer than 0.1° are merged.

Atomic structure:
a b c (Å): 2.6076 12.1579 9.8605
angles (deg): 90.00 91.56 90.00
Space group P2_1/m (No. 11)
Inequivalent atoms, fractional coordinates:
V 0.0260 0.2500 0.1814 (multiplicity 2)
V 0.0443 0.5882 0.1827 (multiplicity 4)
V 0.1021 0.0898 0.5546 (multiplicity 4)
V 0.3350 0.5816 0.9432 (multiplicity 4)
Ga 0.4558 0.7500 0.3171 (multiplicity 2)
Ga 0.4829 0.5827 0.6829 (multiplicity 4)
Fe 0.2969 0.2500 0.9439 (multiplicity 2)

Peak list (8 most intense, 2θ = 10–90°, in order of rising 2θ)
2θ = 42.44°, intensity 92; 2θ = 42.96°, intensity 100; 2θ = 43.74°, intensity 45; 2θ = 44.72°, intensity 45; 2θ = 59.56°, intensity 14; 2θ = 64.34°, intensity 26; 2θ = 77.46°, intensity 19; 2θ = 80.17°, intensity 14